Simulated powder diffraction line list
Compound: TbHo3Pb2N2
Radiation: CuKα
Structure: a cell relaxed with GGA-PBE
No peak broadening, texture or thermal motion is included.

Atomic structure:
```
8
Lattice="3.5375 0.0000 0.0000 -1.7687 3.0636 0.0000 0.0000 0.0000 15.5710" Properties=species:S:1:pos:R:3 pbc="T T T"
Tb 0.0000 0.0000 0.0000
Ho 0.0000 0.0000 5.1911
Ho 0.0000 2.0424 7.7724
Ho 0.0000 2.0424 12.9661
Pb 0.0000 0.0000 10.3666
Pb 0.0000 2.0424 2.6068
N 1.7687 1.0212 6.4814
N 1.7687 1.0212 14.2288
```

Largest 10 diffraction maxima, sorted by position, 15 to 90 degrees two-theta:
- 29.1 deg, I 22.1
- 34.0 deg, I 100.0
- 34.6 deg, I 20.2
- 45.8 deg, I 16.0
- 51.7 deg, I 21.5
- 61.6 deg, I 18.4
- 63.3 deg, I 16.9
- 63.7 deg, I 21.3
- 84.5 deg, I 7.8
- 86.0 deg, I 15.1